# 1
The following is a calculated XRD peak list of K3MgAg2F6. It was derived from a structure optimized by DFT (GGA-PBE), using Cu Kα (weighted mean of Kα1 and Kα2).

Crystal structure
a = 5.9780 Å, b = 5.9780 Å, c = 6.9374 Å
α = 90.00°, β = 90.00°, γ = 120.00°
Atoms (fractional coordinates):
K 0.0000 0.0000 0.0000
K 0.3333 0.6667 0.6128
K 0.6667 0.3333 0.3872
Mg 0.0000 0.0000 0.5000
Ag 0.3333 0.6667 0.1101
Ag 0.6667 0.3333 0.8899
F 0.1559 0.3118 0.3259
F 0.1559 0.8441 0.3259
F 0.3118 0.1559 0.6741
F 0.6882 0.8441 0.3259
F 0.8441 0.1559 0.6741
F 0.8441 0.6882 0.6741

Top 8 peaks for 2θ from 5° to 70°, by angle:
two_theta, I (rel.)
21.42, 56
29.89, 100
31.03, 92
32.62, 29
43.63, 73
53.08, 23
53.79, 33
62.11, 27

# 2
The following is a calculated XRD peak list of LaEuB12. It was derived from a structure optimized by DFT (GGA-PBE), using Cu Kα (weighted mean of Kα1 and Kα2).

Crystal structure
a = 4.1580 Å, b = 4.1580 Å, c = 8.3127 Å
α = 90.00°, β = 90.00°, γ = 90.00°
Atoms (fractional coordinates):
La 0.0000 0.0000 0.0000
Eu 0.0000 0.0000 0.5000
B 0.2006 0.5000 0.2500
B 0.2006 0.5000 0.7500
B 0.5000 0.2006 0.2500
B 0.5000 0.2006 0.7500
B 0.5000 0.5000 0.1002
B 0.5000 0.5000 0.3997
B 0.5000 0.5000 0.6003
B 0.5000 0.5000 0.8998
B 0.5000 0.7994 0.2500
B 0.5000 0.7994 0.7500
B 0.7994 0.5000 0.2500
B 0.7994 0.5000 0.7500

Top 8 peaks for 2θ from 5° to 70°, by angle:
two_theta, I (rel.)
21.37, 64
30.41, 100
37.47, 42
43.54, 21
48.99, 49
54.03, 27
63.27, 10
67.60, 28

# 3
The following is a calculated XRD peak list of Tb4PtSeS2. It was derived from a structure optimized by DFT (GGA-PBE), using Cu Kα (weighted mean of Kα1 and Kα2).

Crystal structure
a = 7.0295 Å, b = 3.9565 Å, c = 7.0313 Å
α = 90.00°, β = 108.91°, γ = 90.00°
Atoms (fractional coordinates):
Tb 0.2416 0.0000 0.2388
Tb 0.2430 0.5000 0.7513
Tb 0.7570 0.5000 0.2487
Tb 0.7584 0.0000 0.7612
Pt 0.0000 0.0000 0.5000
Se 0.5000 0.5000 0.5000
S 0.0000 0.5000 0.0000
S 0.5000 0.0000 0.0000

Top 8 peaks for 2θ from 5° to 70°, by angle:
two_theta, I (rel.)
13.31, 20
31.27, 51
31.47, 100
44.33, 19
44.96, 74
45.87, 18
55.24, 20
56.57, 19

# 4
The following is a calculated XRD peak list of Be7Pt6. It was derived from a structure optimized by DFT (GGA-PBE), using Cu Kα (weighted mean of Kα1 and Kα2).

Crystal structure
a = 8.7481 Å, b = 8.7481 Å, c = 8.7481 Å
α = 30.40°, β = 30.40°, γ = 30.40°
Atoms (fractional coordinates):
Be 0.0000 0.0000 0.0000
Be 0.0904 0.0904 0.5929
Be 0.0904 0.5929 0.0904
Be 0.4071 0.9096 0.9096
Be 0.5929 0.0904 0.0904
Be 0.9096 0.4071 0.9096
Be 0.9096 0.9096 0.4071
Pt 0.1796 0.1796 0.1796
Pt 0.3373 0.3373 0.3373
Pt 0.4459 0.4459 0.4459
Pt 0.5541 0.5541 0.5541
Pt 0.6627 0.6627 0.6627
Pt 0.8204 0.8204 0.8204

Top 8 peaks for 2θ from 5° to 70°, by angle:
two_theta, I (rel.)
21.31, 31
22.66, 44
36.57, 62
39.27, 100
45.11, 33
45.99, 19
54.74, 20
69.43, 20

# 5
The following is a calculated XRD peak list of Ti3ReB. It was derived from a structure optimized by DFT (GGA-PBE), using Cu Kα (weighted mean of Kα1 and Kα2).

Crystal structure
a = 4.2135 Å, b = 4.2135 Å, c = 4.2135 Å
α = 90.00°, β = 90.00°, γ = 90.00°
Atoms (fractional coordinates):
Ti 0.0000 0.0000 0.5000
Ti 0.0000 0.5000 0.0000
Ti 0.5000 0.0000 0.0000
Re 0.5000 0.5000 0.5000
B 0.0000 0.0000 0.0000

Top 8 peaks for 2θ from 5° to 70°, by angle:
two_theta, I (rel.)
21.08, 47
29.99, 54
36.95, 100
42.93, 53
48.30, 24
53.25, 23
62.33, 34
66.58, 12

# 6
The following is a calculated XRD peak list of Pm3AlZn4. It was derived from a structure optimized by DFT (GGA-PBE), using Cu Kα (weighted mean of Kα1 and Kα2).

Crystal structure
a = 4.7392 Å, b = 4.9539 Å, c = 16.9932 Å
α = 90.00°, β = 90.00°, γ = 90.00°
Atoms (fractional coordinates):
Pm 0.0000 0.0000 0.0000
Pm 0.0000 0.5000 0.2070
Pm 0.0000 0.5000 0.7930
Pm 0.5000 0.0000 0.2930
Pm 0.5000 0.0000 0.7070
Pm 0.5000 0.5000 0.5000
Al 0.0000 0.0000 0.5000
Al 0.5000 0.5000 0.0000
Zn 0.0000 0.2604 0.3743
Zn 0.0000 0.2604 0.6257
Zn 0.0000 0.7396 0.3743
Zn 0.0000 0.7396 0.6257
Zn 0.5000 0.2396 0.1257
Zn 0.5000 0.2396 0.8743
Zn 0.5000 0.7604 0.1257
Zn 0.5000 0.7604 0.8743

Top 8 peaks for 2θ from 5° to 70°, by angle:
two_theta, I (rel.)
23.86, 42
28.09, 100
32.42, 69
37.97, 35
41.48, 30
42.23, 32
58.08, 25
65.15, 22